Record 1
Starting from a cell relaxed with PBE, the X-ray diffraction stick pattern of La3SiI3 was calculated for CuKα.
No peak broadening, texture or thermal motion is included.

Structural model:
```
La3SiI3
1.0
-6.352 6.352 6.352
6.352 -6.352 6.352
6.352 6.352 -6.352
La Si I
12 4 12
direct
0.016 0.031 0.266
0.016 0.484 0.750
0.031 0.266 0.016
0.234 0.266 0.750
0.234 0.469 0.484
0.266 0.016 0.031
0.266 0.750 0.234
0.469 0.484 0.234
0.484 0.234 0.469
0.484 0.750 0.016
0.750 0.016 0.484
0.750 0.234 0.266
0.000 0.250 0.500
0.250 0.250 0.250
0.250 0.500 0.000
0.500 0.000 0.250
0.250 0.759 0.741
0.250 0.991 0.509
0.509 0.250 0.991
0.509 0.759 0.518
0.518 0.509 0.759
0.741 0.250 0.759
0.741 0.991 0.982
0.759 0.518 0.509
0.759 0.741 0.250
0.982 0.741 0.991
0.991 0.509 0.250
0.991 0.982 0.741
```

The 6 most intense peaks (2θ = 5–70°), in order of rising 2θ:
| 2θ/deg | intensity |
| --- | --- |
| 26.2 | 372 |
| 28.1 | 1000 |
| 33.1 | 211 |
| 40.2 | 709 |
| 49.7 | 237 |
| 65.7 | 264 |

Record 2
Starting from a cell relaxed with PBE, the X-ray diffraction stick pattern of Pr3Er was calculated for CuKα.
No peak broadening, texture or thermal motion is included.

Structural model:
```
Pr3Er
1.0
7.392 0.000 0.000
-3.696 6.402 0.000
0.000 0.000 5.944
Pr Er
6 2
direct
0.168 0.335 0.250
0.168 0.832 0.250
0.335 0.168 0.750
0.665 0.832 0.250
0.832 0.168 0.750
0.832 0.665 0.750
0.333 0.667 0.750
0.667 0.333 0.250
```

The 6 most intense peaks (2θ = 5–70°), in order of rising 2θ:
| 2θ/deg | intensity |
| --- | --- |
| 27.9 | 234 |
| 30.1 | 256 |
| 31.8 | 1000 |
| 49.3 | 195 |
| 54.5 | 218 |
| 58.8 | 230 |

Record 3
Starting from a cell relaxed with PBE, the X-ray diffraction stick pattern of Sr3CuIrO6 was calculated for CuKα.
No peak broadening, texture or thermal motion is included.

Structural model:
```
Sr3CuIrO6
1.0
4.730 -4.890 0.000
4.730 4.890 0.000
-0.124 0.000 6.766
Sr Cu Ir O
6 2 2 12
direct
0.101 0.899 0.750
0.242 0.392 0.620
0.392 0.242 0.120
0.608 0.758 0.880
0.758 0.608 0.380
0.899 0.101 0.250
0.308 0.692 0.250
0.692 0.308 0.750
0.000 0.500 0.000
0.500 0.000 0.500
0.072 0.222 0.930
0.105 0.470 0.283
0.222 0.072 0.430
0.283 0.602 0.963
0.398 0.717 0.537
0.470 0.105 0.783
0.530 0.895 0.217
0.602 0.283 0.463
0.717 0.398 0.037
0.778 0.928 0.570
0.895 0.530 0.717
0.928 0.778 0.070
```

The 6 most intense peaks (2θ = 5–70°), in order of rising 2θ:
| 2θ/deg | intensity |
| --- | --- |
| 18.4 | 428 |
| 18.6 | 471 |
| 29.6 | 599 |
| 31.8 | 1000 |
| 32.2 | 610 |
| 42.4 | 391 |